1.
Computed powder diffraction line list
Compound: YMg6CoO8
Radiation: Cu Kα X-rays
Structure: the GGA+U geometry in the Materials Project
Intensities are scaled so that the largest is 100.

Crystal structure
```
data_YMg6CoO8
_space_group_name_H-M_alt 'P 1'
_space_group_IT_number 1
_space_group_name_Hall 'P 1'
_cell_length_a 4.3829
_cell_length_b 4.3829
_cell_length_c 8.7968
_cell_angle_alpha 90.00
_cell_angle_beta 90.00
_cell_angle_gamma 90.00
loop_
_atom_site_label
_atom_site_fract_x
_atom_site_fract_y
_atom_site_fract_z
Y1 0.0000 0.0000 0.0000
Mg1 0.0000 0.0000 0.5000
Mg2 0.0000 0.5000 0.2598
Mg3 0.0000 0.5000 0.7402
Mg4 0.5000 0.0000 0.2598
Mg5 0.5000 0.0000 0.7402
Mg6 0.5000 0.5000 0.5000
Co1 0.5000 0.5000 0.0000
O1 0.0000 0.0000 0.2612
O2 0.0000 0.0000 0.7388
O3 0.0000 0.5000 0.0000
O4 0.0000 0.5000 0.5000
O5 0.5000 0.0000 0.0000
O6 0.5000 0.0000 0.5000
O7 0.5000 0.5000 0.2655
O8 0.5000 0.5000 0.7345
```

Principal peaks in the range 2θ = 10–90°, most intense first:
41.2 deg, rel. 100
10.1 deg, rel. 62
59.6 deg, rel. 57
35.4 deg, rel. 50
41.0 deg, rel. 49
30.6 deg, rel. 37
59.7 deg, rel. 29
75.0 deg, rel. 26

2.
Computed powder diffraction line list
Compound: GaFe2BO5
Radiation: Cu Kα X-rays
Structure: the GGA+U geometry in the Materials Project
Intensities are scaled so that the largest is 100.

Crystal structure
```
data_GaFe2BO5
_space_group_name_H-M_alt 'P 1'
_space_group_IT_number 1
_space_group_name_Hall 'P 1'
_cell_length_a 9.6728
_cell_length_b 12.4118
_cell_length_c 3.0590
_cell_angle_alpha 90.00
_cell_angle_beta 90.00
_cell_angle_gamma 90.00
loop_
_atom_site_label
_atom_site_fract_x
_atom_site_fract_y
_atom_site_fract_z
Ga1 0.2423 0.1173 0.0000
Ga2 0.2577 0.6173 0.0000
Ga3 0.7423 0.3827 0.0000
Ga4 0.7577 0.8827 0.0000
Fe1 0.0000 0.0000 0.5000
Fe2 0.0000 0.5000 0.0000
Fe3 0.0009 0.2780 0.5000
Fe4 0.4991 0.7780 0.5000
Fe5 0.5000 0.0000 0.0000
Fe6 0.5000 0.5000 0.5000
Fe7 0.5009 0.2220 0.5000
Fe8 0.9991 0.7220 0.5000
B1 0.2306 0.8630 0.0000
B2 0.2694 0.3630 0.0000
B3 0.7306 0.6370 0.0000
B4 0.7694 0.1370 0.0000
O1 0.1157 0.1423 0.5000
O2 0.1226 0.5826 0.5000
O3 0.1261 0.3625 0.0000
O4 0.1561 0.9593 0.0000
O5 0.1590 0.7654 0.0000
O6 0.3410 0.2654 0.0000
O7 0.3439 0.4593 0.0000
O8 0.3739 0.8625 0.0000
O9 0.3774 0.0826 0.5000
O10 0.3843 0.6423 0.5000
O11 0.6157 0.3577 0.5000
O12 0.6226 0.9174 0.5000
O13 0.6261 0.1375 0.0000
O14 0.6561 0.5407 0.0000
O15 0.6590 0.7346 0.0000
O16 0.8410 0.2346 0.0000
O17 0.8439 0.0407 0.0000
O18 0.8739 0.6375 0.0000
O19 0.8774 0.4174 0.5000
O20 0.8843 0.8577 0.5000
```

Principal peaks in the range 2θ = 10–90°, most intense first:
34.3 deg, rel. 100
34.7 deg, rel. 80
17.0 deg, rel. 75
37.7 deg, rel. 37
43.3 deg, rel. 35
61.2 deg, rel. 32
56.9 deg, rel. 30
46.4 deg, rel. 30

3.
Computed powder diffraction line list
Compound: KMnO2
Radiation: Cu Kα X-rays
Structure: the GGA+U geometry in the Materials Project
Intensities are scaled so that the largest is 100.

Crystal structure
```
data_KMnO2
_space_group_name_H-M_alt 'P 1'
_space_group_IT_number 1
_space_group_name_Hall 'P 1'
_cell_length_a 6.5124
_cell_length_b 6.5124
_cell_length_c 7.7503
_cell_angle_alpha 122.66
_cell_angle_beta 122.66
_cell_angle_gamma 28.14
loop_
_atom_site_label
_atom_site_fract_x
_atom_site_fract_y
_atom_site_fract_z
K1 0.1721 0.1721 0.1927
K2 0.8279 0.8279 0.8073
Mn1 0.0304 0.0304 0.6737
Mn2 0.9696 0.9696 0.3263
O1 0.1321 0.1321 0.5696
O2 0.4481 0.4481 0.1720
O3 0.5519 0.5519 0.8280
O4 0.8679 0.8679 0.4304
```

Principal peaks in the range 2θ = 10–90°, most intense first:
29.5 deg, rel. 100
28.7 deg, rel. 90
16.9 deg, rel. 72
34.7 deg, rel. 47
27.7 deg, rel. 46
45.4 deg, rel. 46
14.7 deg, rel. 43
36.5 deg, rel. 37

4.
Computed powder diffraction line list
Compound: La4FeSe6O
Radiation: Cu Kα X-rays
Structure: the GGA+U geometry in the Materials Project
Intensities are scaled so that the largest is 100.

Crystal structure
```
data_La4FeSe6O
_space_group_name_H-M_alt 'P 1'
_space_group_IT_number 1
_space_group_name_Hall 'P 1'
_cell_length_a 7.1174
_cell_length_b 9.7942
_cell_length_c 9.8146
_cell_angle_alpha 60.19
_cell_angle_beta 89.56
_cell_angle_gamma 89.78
loop_
_atom_site_label
_atom_site_fract_x
_atom_site_fract_y
_atom_site_fract_z
La1 0.0000 0.0000 0.0000
La2 0.0003 0.4005 0.5997
La3 0.0461 0.9317 0.5325
La4 0.4974 0.8005 0.7978
La5 0.4982 0.2004 0.3989
La6 0.5000 0.7987 0.3981
La7 0.5464 0.2666 0.8655
La8 0.9975 0.4010 0.0000
Fe1 0.3388 0.5985 0.2015
Fe2 0.8382 0.5981 0.1961
Se1 0.1000 0.7246 0.9508
Se2 0.1030 0.3529 0.3230
Se3 0.1048 0.7247 0.3238
Se4 0.2843 0.1306 0.1388
Se5 0.2845 0.1301 0.7287
Se6 0.2845 0.5401 0.7292
Se7 0.5992 0.4763 0.0742
Se8 0.6032 0.8473 0.0737
Se9 0.6079 0.4749 0.4467
Se10 0.7836 0.0701 0.6686
Se11 0.7837 0.6591 0.6688
Se12 0.7849 0.0696 0.2594
O1 0.3821 0.9331 0.5317
O2 0.8824 0.2667 0.8665
```

Principal peaks in the range 2θ = 10–90°, most intense first:
32.9 deg, rel. 100
34.1 deg, rel. 99
36.6 deg, rel. 76
32.7 deg, rel. 68
30.6 deg, rel. 65
24.4 deg, rel. 58
30.4 deg, rel. 43
36.7 deg, rel. 38

5.
Computed powder diffraction line list
Compound: Ti3Fe9O16
Radiation: Cu Kα X-rays
Structure: the GGA+U geometry in the Materials Project
Intensities are scaled so that the largest is 100.

Crystal structure
```
data_Ti3Fe9O16
_space_group_name_H-M_alt 'P 1'
_space_group_IT_number 1
_space_group_name_Hall 'P 1'
_cell_length_a 6.0731
_cell_length_b 10.5451
_cell_length_c 10.6142
_cell_angle_alpha 98.54
_cell_angle_beta 90.06
_cell_angle_gamma 106.50
loop_
_atom_site_label
_atom_site_fract_x
_atom_site_fract_y
_atom_site_fract_z
Ti1 0.0000 0.0000 0.0000
Ti2 0.1276 0.2553 0.8790
Ti3 0.3712 0.7581 0.6342
Ti4 0.5000 0.5000 0.5000
Ti5 0.6288 0.2419 0.3658
Ti6 0.8724 0.7447 0.1210
Fe1 0.0000 0.5000 0.0000
Fe2 0.0000 0.5000 0.5000
Fe3 0.1016 0.1930 0.5349
Fe4 0.1532 0.3094 0.2205
Fe5 0.2453 0.9994 0.7465
Fe6 0.2477 0.0003 0.2539
Fe7 0.2479 0.4983 0.7522
Fe8 0.3490 0.6953 0.2845
Fe9 0.4037 0.8038 0.9723
Fe10 0.5000 0.0000 0.5000
Fe11 0.5000 0.5000 0.0000
Fe12 0.5963 0.1962 0.0277
Fe13 0.6510 0.3047 0.7155
Fe14 0.7523 0.9997 0.7461
Fe15 0.7521 0.5017 0.2478
Fe16 0.7547 0.0006 0.2535
Fe17 0.8468 0.6906 0.7795
Fe18 0.8984 0.8070 0.4651
O1 0.0553 0.1058 0.1735
O2 0.0614 0.6414 0.1870
O3 0.0675 0.1346 0.6961
O4 0.0901 0.6299 0.6714
O5 0.1541 0.8778 0.0647
O6 0.1809 0.3589 0.0421
O7 0.1911 0.8612 0.5610
O8 0.2132 0.3872 0.5635
O9 0.2773 0.1203 0.9353
O10 0.3009 0.6042 0.9303
O11 0.3286 0.6197 0.4415
O12 0.3341 0.1376 0.4366
O13 0.4191 0.3585 0.8151
O14 0.4294 0.8607 0.7927
O15 0.4442 0.8868 0.3161
O16 0.4560 0.3781 0.3361
O17 0.5440 0.6219 0.6639
O18 0.5558 0.1132 0.6839
O19 0.5706 0.1393 0.2073
O20 0.5809 0.6415 0.1849
O21 0.6659 0.8624 0.5634
O22 0.6714 0.3803 0.5585
O23 0.6991 0.3958 0.0697
O24 0.7227 0.8797 0.0647
O25 0.7868 0.6128 0.4365
O26 0.8089 0.1388 0.4390
O27 0.8191 0.6411 0.9579
O28 0.8459 0.1222 0.9353
O29 0.9099 0.3701 0.3286
O30 0.9325 0.8654 0.3039
O31 0.9386 0.3586 0.8130
O32 0.9447 0.8942 0.8265
```

Principal peaks in the range 2θ = 10–90°, most intense first:
34.7 deg, rel. 100
34.5 deg, rel. 63
34.1 deg, rel. 38
60.6 deg, rel. 37
29.1 deg, rel. 29
29.4 deg, rel. 25
34.2 deg, rel. 24
29.2 deg, rel. 22

6.
Computed powder diffraction line list
Compound: Fe4O3F5
Radiation: Cu Kα X-rays
Structure: the GGA+U geometry in the Materials Project
Intensities are scaled so that the largest is 100.

Crystal structure
```
data_Fe4O3F5
_space_group_name_H-M_alt 'P 1'
_space_group_IT_number 1
_space_group_name_Hall 'P 1'
_cell_length_a 4.8224
_cell_length_b 6.1345
_cell_length_c 10.1178
_cell_angle_alpha 72.50
_cell_angle_beta 89.67
_cell_angle_gamma 89.88
loop_
_atom_site_label
_atom_site_fract_x
_atom_site_fract_y
_atom_site_fract_z
Fe1 0.0000 0.0000 0.0000
Fe2 0.0016 0.7596 0.5024
Fe3 0.4467 0.1262 0.2456
Fe4 0.4858 0.6212 0.2664
Fe5 0.5172 0.3922 0.7362
Fe6 0.5528 0.8654 0.7586
Fe7 0.9404 0.4852 0.0300
Fe8 0.9692 0.2304 0.5200
O1 0.1603 0.2005 0.0983
O2 0.3000 0.8274 0.3441
O3 0.6512 0.4209 0.1673
O4 0.6863 0.1675 0.6708
O5 0.7043 0.6714 0.6589
O6 0.8125 0.7901 0.9211
F1 0.1833 0.6954 0.1104
F2 0.2008 0.4454 0.6061
F3 0.2148 0.9437 0.6184
F4 0.2769 0.3224 0.3601
F5 0.2987 0.0762 0.8568
F6 0.3161 0.5703 0.8519
F7 0.6834 0.9221 0.1536
F8 0.7702 0.0574 0.3952
F9 0.7850 0.2954 0.9096
F10 0.7877 0.5458 0.4035
```

Principal peaks in the range 2θ = 10–90°, most intense first:
34.7 deg, rel. 100
26.2 deg, rel. 98
26.1 deg, rel. 96
51.7 deg, rel. 55
39.5 deg, rel. 28
52.0 deg, rel. 27
51.8 deg, rel. 26
65.6 deg, rel. 18

7.
Computed powder diffraction line list
Compound: Li9Mn2Co5O16
Radiation: Cu Kα X-rays
Structure: the GGA+U geometry in the Materials Project
Intensities are scaled so that the largest is 100.

Crystal structure
```
data_Li9Mn2Co5O16
_space_group_name_H-M_alt 'P 1'
_space_group_IT_number 1
_space_group_name_Hall 'P 1'
_cell_length_a 2.9763
_cell_length_b 6.4376
_cell_length_c 15.4100
_cell_angle_alpha 88.67
_cell_angle_beta 87.35
_cell_angle_gamma 76.96
loop_
_atom_site_label
_atom_site_fract_x
_atom_site_fract_y
_atom_site_fract_z
Li1 0.0000 0.0000 0.0000
Li2 0.0527 0.8812 0.1865
Li3 0.1832 0.6302 0.5622
Li4 0.3186 0.3719 0.9402
Li5 0.4262 0.1297 0.3088
Li6 0.5738 0.8703 0.6912
Li7 0.6814 0.6281 0.0598
Li8 0.8168 0.3698 0.4378
Li9 0.9473 0.1188 0.8135
Mn1 0.1324 0.7477 0.3769
Mn2 0.8676 0.2523 0.6231
Co1 0.2521 0.5045 0.7528
Co2 0.3787 0.2386 0.1185
Co3 0.5000 0.0000 0.5000
Co4 0.6213 0.7614 0.8815
Co5 0.7479 0.4955 0.2472
O1 0.0011 0.9554 0.5829
O2 0.0756 0.7974 0.7842
O3 0.1758 0.6926 0.9616
O4 0.2319 0.5380 0.1575
O5 0.2761 0.4491 0.3409
O6 0.3153 0.2970 0.5323
O7 0.4285 0.2012 0.7159
O8 0.4798 0.0346 0.9011
O9 0.5202 0.9654 0.0989
O10 0.5715 0.7988 0.2841
O11 0.6847 0.7030 0.4677
O12 0.7239 0.5509 0.6591
O13 0.7681 0.4620 0.8425
O14 0.8242 0.3074 0.0384
O15 0.9244 0.2026 0.2158
O16 0.9989 0.0446 0.4171
```

Principal peaks in the range 2θ = 10–90°, most intense first:
18.4 deg, rel. 100
41.9 deg, rel. 32
44.0 deg, rel. 27
44.8 deg, rel. 25
34.9 deg, rel. 19
36.2 deg, rel. 13
36.7 deg, rel. 11
62.5 deg, rel. 8